(1)
Starting from a crystal structure in the Materials Project, relaxed with PBE+U, the X-ray powder pattern of Ba2WC4O8 was computed for Cu Ka.
Lines closer than 0.1° are merged.

Structure:
Unit cell a=6.153 b=8.842 c=9.817 alpha=64.65 beta=85.00 gamma=84.56
Space group P-1 (No. 2)
Inequivalent atoms, fractional coordinates:
Ba1 0.212 0.142 0.065
Ba2 0.281 0.528 0.299
W1 0.249 0.953 0.496
C1 0.133 0.225 0.684
C2 0.180 0.582 0.830
C3 0.327 0.681 0.879
C4 0.386 0.216 0.686
O1 0.022 0.372 0.182
O2 0.026 0.146 0.808
O3 0.047 0.320 0.561
O4 0.240 0.744 0.966
O5 0.270 0.457 0.808
O6 0.473 0.133 0.812
O7 0.474 0.313 0.169
O8 0.490 0.302 0.563

Largest 10 diffraction maxima, most intense first, 5 to 70 degrees two-theta:
Position (°2θ)	Rel. int.	index
26.84	1000	0 1 -2
23.75	577	1 2 1
26.06	491	-1 2 1
29.20	456	2 0 0
27.41	428	0 1 3
20.19	423	0 2 1
22.30	344	0 2 0
18.33	312	0 1 2
40.33	284	2 1 -2
41.67	270	1 3 4

(2)
Starting from a crystal structure in the Materials Project, relaxed with PBE+U, the X-ray powder pattern of Ba4CaV4Cu2F28 was computed for Cu Ka.
Lines closer than 0.1° are merged.

Structure:
Unit cell a=14.237 b=5.443 c=15.184 alpha=90.00 beta=91.39 gamma=90.00
Space group C2 (No. 5)
Inequivalent atoms, fractional coordinates:
Ba1 0.180 0.000 0.377
Ba2 0.186 0.163 0.875
Ca1 0.000 0.663 0.000
V1 0.123 0.063 0.622
V2 0.124 0.108 0.125
Cu1 0.002 0.584 0.250
F1 0.002 0.150 0.602
F2 0.007 0.004 0.904
F3 0.053 0.522 0.863
F4 0.057 0.650 0.358
F5 0.082 0.292 0.234
F6 0.086 0.872 0.728
F7 0.115 0.378 0.038
F8 0.125 0.798 0.544
F9 0.146 0.825 0.204
F10 0.148 0.334 0.703
F11 0.159 0.885 0.026
F12 0.172 0.264 0.531
F13 0.247 0.974 0.651
F14 0.248 0.695 0.852

Largest 10 diffraction maxima, most intense first, 5 to 70 degrees two-theta:
Position (°2θ)	Rel. int.	index
24.90	1000	3 1 0
29.24	341	1 1 -4
23.44	323	0 0 4
27.38	290	3 1 -2
21.12	269	1 1 2
29.49	230	1 1 4
39.83	223	2 2 3
26.35	201	2 0 -4
18.44	201	1 1 1
47.96	201	0 0 8

(3)
Starting from a crystal structure in the Materials Project, relaxed with PBE+U, the X-ray powder pattern of Ba3VO5 was computed for Cu Ka.
Lines closer than 0.1° are merged.

Structure:
Unit cell a=7.421 b=7.421 c=11.887 alpha=90.00 beta=90.00 gamma=90.00
Space group I4/mcm (No. 140)
Inequivalent atoms, fractional coordinates:
Ba1 0.000 0.000 0.250
Ba2 0.181 0.319 0.000
V1 0.000 0.500 0.250
O1 0.000 0.000 0.000
O2 0.139 0.361 0.341

Largest 10 diffraction maxima, most intense first, 5 to 70 degrees two-theta:
Position (°2θ)	Rel. int.	index
28.35	1000	2 0 2
35.28	557	2 1 3
27.91	454	2 1 1
30.07	344	0 0 4
34.17	270	2 2 0
38.35	238	3 1 0
52.34	225	2 0 6
46.15	220	2 2 4
51.34	179	4 1 1
56.12	166	4 1 3

(4)
Starting from a crystal structure in the Materials Project, relaxed with PBE+U, the X-ray powder pattern of Ba2Mn2TlO7 was computed for Cu Ka.
Lines closer than 0.1° are merged.

Structure:
Unit cell a=3.778 b=3.778 c=14.137 alpha=90.00 beta=90.00 gamma=90.00
Space group P4/mmm (No. 123)
Inequivalent atoms, fractional coordinates:
Ba1 0.000 0.000 0.200
Mn1 0.500 0.500 0.371
Tl1 0.500 0.500 0.000
O1 0.000 0.000 0.000
O2 0.000 0.500 0.351
O3 0.500 0.500 0.148

Largest 10 diffraction maxima, most intense first, 5 to 70 degrees two-theta:
Position (°2θ)	Rel. int.	index
6.25	1000	0 0 1
30.32	632	1 0 3
26.76	618	1 0 2
33.55	375	1 1 0
46.78	277	1 1 5
31.64	212	0 0 5
57.99	208	2 1 3
48.17	198	2 0 0
34.16	180	1 1 1
55.96	166	2 1 2